Diffraction record for CsIr. The powder diffraction line list is computed, not measured: it uses a DFT-relaxed cell (GGA-PBE, the Materials Project) and Cu Kα (weighted mean of Kα1 and Kα2).
No peak broadening, texture or thermal motion is included.

Peak list (10 most intense, 2θ = 10–90°, low angle first)
| two_theta | d (Å) | Rel. int. | h k l |
| --- | --- | --- | --- |
| 31.8 | 2.815 | 262 | 0 0 2 |
| 32.4 | 2.766 | 1000 | 1 0 1 |
| 40.2 | 2.245 | 277 | 1 1 0 |
| 52.1 | 1.755 | 262 | 1 1 2 |
| 57.0 | 1.616 | 201 | 1 0 3 |
| 58.1 | 1.588 | 95 | 2 0 0 |
| 67.8 | 1.383 | 120 | 2 0 2 |
| 68.1 | 1.377 | 237 | 2 1 1 |
| 80.5 | 1.193 | 75 | 1 1 4 |
| 85.8 | 1.132 | 130 | 2 1 3 |

Structure:
a b c (Å): 3.1753 3.1753 5.6305
angles (deg): 90.00 90.00 90.00
Fractional positions:
1 Cs 0.0000 0.0000 0.0000
2 Ir 0.5000 0.5000 0.5000